Structure and computed PXRD pattern of ErMnGe2 (a cell relaxed with PBE; Cu Kα, 1.54184 Å).
Peak positions follow from Bragg's law for the DFT cell and can differ from measured ones.

Most intense lines, 5 to 70 degrees two-theta, by angle:
3.460 Å, 2θ 25.8, rel. 31, hkl 1 0 1
3.223 Å, 2θ 27.7, rel. 9, hkl 0 1 2
2.607 Å, 2θ 34.4, rel. 100, hkl 1 0 4
2.323 Å, 2θ 38.8, rel. 29, hkl 0 1 5
2.050 Å, 2θ 44.2, rel. 58, hkl 1 1 0
1.764 Å, 2θ 51.8, rel. 5, hkl 0 2 1
1.706 Å, 2θ 53.7, rel. 5, hkl 0 0 9
1.688 Å, 2θ 54.3, rel. 16, hkl 0 1 8
1.611 Å, 2θ 57.2, rel. 23, hkl 0 2 4
1.600 Å, 2θ 57.6, rel. 7, hkl 1 1 6
1.537 Å, 2θ 60.2, rel. 8, hkl 2 0 5
1.409 Å, 2θ 66.3, rel. 6, hkl 1 0 10

Crystal structure
Lattice parameters (Å, degrees): 4.1005 4.1005 15.3516 90.00 90.00 120.00
Space group R-3m (No. 166, hexagonal axes)
One atom of each set of equivalent atoms:
Er: 0.0000 0.0000 0.0000 x3
Mn: 0.0000 0.0000 0.5000 x3
Ge: 0.0000 0.0000 0.2250 x6